The following is a calculated X-ray powder pattern of HfMn2. It was derived from DFT lattice parameters and positions (GGA-PBE), using Cu Kα (λ = 1.5418 Å).
No peak broadening, texture or thermal motion is included.

Most intense lines, 10 to 90 degrees two-theta, in order of rising 2θ:
two_theta  I/Imax  hkl
21.5  21  0 2 1
34.8  26  1 1 5
36.3  76  2 0 0
39.6  80  1 1 6
42.6  21  2 2 1
42.9  100  2 0 4
43.7  37  2 2 2
67.5  37  3 1 6
69.9  23  3 3 4
73.5  20  2 2 10

Cell: 4.9506 8.5598 16.1388 Å, 90.00 90.00 90.00°
Space group Cmcm (No. 63)
Unique sites:
Hf 0.0000 0.9999 0.0936 (multiplicity 8)
Hf 0.0000 0.3334 0.1558 (multiplicity 8)
Mn 0.0000 0.1636 0.7500 (multiplicity 4)
Mn 0.0000 0.3333 0.6246 (multiplicity 8)
Mn 0.0000 0.5000 0.0000 (multiplicity 4)
Mn 0.2451 0.0816 0.2500 (multiplicity 8)
Mn 0.2500 0.2500 0.0000 (multiplicity 8)